For AcPm2WO8, a structure optimized by DFT (GGA+U) gives the computed PXRD pattern in this record (Cu Kα).

Largest 12 diffraction maxima, by intensity, 10 to 90 degrees two-theta:
- 30.0°, I = 1000, (1 1 2)
- 24.2°, I = 527, (0 2 0)
- 24.4°, I = 519, (2 0 0)
- 46.4°, I = 377, (1 3 2)
- 46.6°, I = 364, (3 1 2)
- 34.7°, I = 328, (2 2 0)
- 59.3°, I = 207, (3 3 2)
- 56.5°, I = 195, (0 2 4)
- 62.4°, I = 128, (2 2 4)
- 73.2°, I = 97, (0 4 4)
- 78.7°, I = 95, (6 0 0)
- 56.3°, I = 94, (4 2 0)

Structural model:
```
data_AcPm2WO8
_chemical_formula_sum 'Ac2 Pm4 W2 O16'
_space_group_name_H-M_alt 'C m m m'
_space_group_IT_number 65
_space_group_name_Hall '-C 2 2'
_cell_length_a 7.293
_cell_length_b 7.341
_cell_length_c 7.277
_cell_angle_alpha 90.00
_cell_angle_beta 90.00
_cell_angle_gamma 90.00
loop_
_atom_site_label
_atom_site_type_symbol
_atom_site_fract_x
_atom_site_fract_y
_atom_site_fract_z
Ac1 Ac 0.000 0.000 0.000
Pm1 Pm 0.000 0.500 0.263
W1 W 0.000 0.000 0.500
O1 O 0.000 0.182 0.302
O2 O 0.178 0.500 0.000
O3 O 0.230 0.500 0.500
```